(1)
For PrNd4Sb5, a crystal structure in Alexandria, relaxed with GGA-PBE gives the computed powder diffractogram in this record (Cu Kα (λ = 1.5418 Å)).
No peak broadening, texture or thermal motion is included.

Cell and atoms:
Lattice parameters (Å, degrees): 16.3303 16.3303 16.3303 164.05 164.05 22.63
Fractional coordinates of all 10 atoms:
1 Pr 0.0000 0.0000 0.0000
2 Nd 0.2001 0.2001 0.0000
3 Nd 0.3998 0.3998 0.0000
4 Nd 0.6002 0.6002 0.0000
5 Nd 0.7999 0.7999 0.0000
6 Sb 0.1004 0.1004 0.0000
7 Sb 0.3000 0.3000 0.0000
8 Sb 0.5000 0.5000 0.0000
9 Sb 0.7000 0.7000 0.0000
10 Sb 0.8996 0.8996 0.0000

Largest 9 diffraction maxima, sorted by position, 2θ from 15° to 90°:
two_theta  d [Å]  intensity
24.06  3.699  14
27.85  3.204  1000
39.79  2.265  767
47.04  1.932  8
49.26  1.850  275
57.54  1.602  129
65.11  1.433  354
72.23  1.308  261
85.78  1.133  84



(2)
For Ce4YO10, a crystal structure in Alexandria, relaxed with GGA-PBE gives the computed powder diffractogram in this record (Cu Kα (λ = 1.5418 Å)).
No peak broadening, texture or thermal motion is included.

Cell and atoms:
Lattice parameters (Å, degrees): 15.8981 15.8981 15.8981 13.96 13.96 13.96
Fractional coordinates of all 15 atoms:
1 Ce 0.1004 0.1004 0.1004
2 Ce 0.2999 0.2999 0.2999
3 Ce 0.7001 0.7001 0.7001
4 Ce 0.8996 0.8996 0.8996
5 Y 0.5000 0.5000 0.5000
6 O 0.0500 0.0500 0.0500
7 O 0.1496 0.1496 0.1496
8 O 0.2500 0.2500 0.2500
9 O 0.3500 0.3500 0.3500
10 O 0.4495 0.4495 0.4495
11 O 0.5505 0.5505 0.5505
12 O 0.6500 0.6500 0.6500
13 O 0.7500 0.7500 0.7500
14 O 0.8504 0.8504 0.8504
15 O 0.9500 0.9500 0.9500

Largest 10 diffraction maxima, sorted by position, 2θ from 15° to 90°:
two_theta  d [Å]  intensity
28.30  3.153  1000
32.80  2.731  276
47.06  1.931  560
55.81  1.647  333
55.89  1.645  110
58.51  1.577  60
68.75  1.365  83
75.91  1.253  133
78.23  1.222  55
87.45  1.115  129



(3)
For Pr4DyEr2, a crystal structure in Alexandria, relaxed with GGA-PBE gives the computed powder diffractogram in this record (Cu Kα (λ = 1.5418 Å)).
No peak broadening, texture or thermal motion is included.

Cell and atoms:
Lattice parameters (Å, degrees): 12.6462 6.8488 13.6293 67.07 29.92 83.01
Fractional coordinates of all 14 atoms:
1 Pr 0.1448 0.2947 0.0674
2 Pr 0.1826 0.7569 0.1052
3 Pr 0.2947 0.1448 0.4931
4 Pr 0.3781 0.6219 0.4807
5 Pr 0.6219 0.3781 0.5193
6 Pr 0.7307 0.7693 0.6281
7 Pr 0.7569 0.1826 0.9553
8 Pr 0.7693 0.7307 0.8719
9 Dy 0.0041 0.0041 0.9959
10 Dy 0.2541 0.2541 0.2459
11 Er 0.2058 0.6866 0.3618
12 Er 0.5042 0.8882 0.5634
13 Er 0.6866 0.2058 0.7458
14 Er 0.8882 0.5042 0.0442

Largest 10 diffraction maxima, sorted by position, 2θ from 15° to 90°:
two_theta  d [Å]  intensity
29.63  3.015  111
29.98  2.980  1000
30.54  2.928  302
31.29  2.858  638
31.95  2.801  320
32.16  2.783  233
36.79  2.443  274
50.17  1.818  202
54.72  1.677  155
60.18  1.538  141



(4)
For Ac2Sm3Ag2, a crystal structure in Alexandria, relaxed with GGA-PBE gives the computed powder diffractogram in this record (Cu Kα (λ = 1.5418 Å)).
No peak broadening, texture or thermal motion is included.

Cell and atoms:
Lattice parameters (Å, degrees): 6.3252 6.3252 8.6069 113.78 113.78 48.60
Fractional coordinates of all 7 atoms:
1 Ac 0.1265 0.1265 0.2696
2 Ac 0.8735 0.8735 0.7304
3 Sm 0.3581 0.3581 0.0358
4 Sm 0.5000 0.5000 0.5000
5 Sm 0.6419 0.6419 0.9642
6 Ag 0.1430 0.1430 0.6760
7 Ag 0.8570 0.8570 0.3240

Largest 10 diffraction maxima, sorted by position, 2θ from 15° to 90°:
two_theta  d [Å]  intensity
24.23  3.673  288
26.93  3.311  555
28.88  3.092  1000
31.18  2.869  680
31.24  2.863  451
32.98  2.716  871
34.46  2.603  638
34.70  2.585  314
47.17  1.927  374
56.29  1.634  269



(5)
For Cs2RbSBr, a crystal structure in Alexandria, relaxed with GGA-PBE gives the computed powder diffractogram in this record (Cu Kα (λ = 1.5418 Å)).
No peak broadening, texture or thermal motion is included.

Cell and atoms:
Lattice parameters (Å, degrees): 8.5236 8.5236 11.7440 90.00 90.00 145.81
Fractional coordinates of all 10 atoms:
1 Cs 0.1338 0.8662 0.5562
2 Cs 0.1338 0.8662 0.9438
3 Cs 0.8662 0.1338 0.0562
4 Cs 0.8662 0.1338 0.4438
5 Rb 0.4177 0.5823 0.7500
6 Rb 0.5823 0.4177 0.2500
7 S 0.5000 0.5000 0.0000
8 S 0.5000 0.5000 0.5000
9 Br 0.2334 0.7666 0.2500
10 Br 0.7666 0.2334 0.7500

Largest 10 diffraction maxima, sorted by position, 2θ from 15° to 90°:
two_theta  d [Å]  intensity
23.98  3.712  608
24.16  3.683  831
25.24  3.528  1000
25.34  3.514  936
28.61  3.120  408
29.47  3.031  577
35.84  2.505  461
36.27  2.477  453
44.34  2.043  428
45.82  1.980  380



(6)
For P4N3Cl11, a crystal structure in Alexandria, relaxed with GGA-PBE gives the computed powder diffractogram in this record (Cu Kα (λ = 1.5418 Å)).
No peak broadening, texture or thermal motion is included.

Cell and atoms:
Lattice parameters (Å, degrees): 8.1323 8.1323 8.1323 84.34 84.34 84.34
Fractional coordinates of all 18 atoms:
1 P 0.0000 0.0000 0.0000
2 P 0.2929 0.8803 0.7879
3 P 0.7879 0.2929 0.8803
4 P 0.8803 0.7879 0.2929
5 N 0.1264 0.8741 0.8993
6 N 0.8741 0.8993 0.1264
7 N 0.8993 0.1264 0.8741
8 Cl 0.0822 0.6278 0.3185
9 Cl 0.1328 0.1328 0.1328
10 Cl 0.3185 0.0822 0.6278
11 Cl 0.3295 0.6852 0.6540
12 Cl 0.4068 0.4068 0.4068
13 Cl 0.4921 0.8651 0.9200
14 Cl 0.6278 0.3185 0.0822
15 Cl 0.6540 0.3295 0.6852
16 Cl 0.6852 0.6540 0.3295
17 Cl 0.8651 0.9200 0.4921
18 Cl 0.9200 0.4921 0.8651

Largest 10 diffraction maxima, sorted by position, 2θ from 15° to 90°:
two_theta  d [Å]  intensity
16.24  5.460  401
17.26  5.137  339
19.64  4.520  1000
23.78  3.741  446
25.58  3.482  468
27.51  3.242  268
30.50  2.931  280
33.35  2.687  285
34.22  2.620  232
34.70  2.585  227



(7)
For La3GaS5O, a crystal structure in Alexandria, relaxed with GGA-PBE gives the computed powder diffractogram in this record (Cu Kα (λ = 1.5418 Å)).
No peak broadening, texture or thermal motion is included.

Cell and atoms:
Lattice parameters (Å, degrees): 10.8662 4.0477 20.0782 90.00 90.00 90.00
Fractional coordinates of all 40 atoms:
1 La 0.0208 0.2500 0.1025
2 La 0.0998 0.7500 0.6630
3 La 0.1469 0.2500 0.4900
4 La 0.3531 0.7500 0.9900
5 La 0.4002 0.2500 0.1630
6 La 0.4792 0.7500 0.6025
7 La 0.5208 0.2500 0.3975
8 La 0.5998 0.7500 0.8370
9 La 0.6469 0.2500 0.0100
10 La 0.8531 0.7500 0.5100
11 La 0.9002 0.2500 0.3370
12 La 0.9792 0.7500 0.8975
13 Ga 0.2070 0.7500 0.2891
14 Ga 0.2930 0.2500 0.7891
15 Ga 0.7070 0.7500 0.2109
16 Ga 0.7930 0.2500 0.7109
17 S 0.0847 0.7500 0.3794
18 S 0.0877 0.2500 0.7882
19 S 0.1271 0.2500 0.9653
20 S 0.1493 0.2500 0.2373
21 S 0.2221 0.7500 0.1148
22 S 0.2779 0.2500 0.6148
23 S 0.3507 0.7500 0.7373
24 S 0.3729 0.7500 0.4653
25 S 0.4123 0.7500 0.2882
26 S 0.4153 0.2500 0.8794
27 S 0.5847 0.7500 0.1206
28 S 0.5877 0.2500 0.7118
29 S 0.6271 0.2500 0.5347
30 S 0.6493 0.2500 0.2627
31 S 0.7221 0.7500 0.3852
32 S 0.7779 0.2500 0.8852
33 S 0.8507 0.7500 0.7627
34 S 0.8729 0.7500 0.0347
35 S 0.9123 0.7500 0.2118
36 S 0.9153 0.2500 0.6206
37 O 0.0745 0.7500 0.5417
38 O 0.4255 0.2500 0.0417
39 O 0.5745 0.7500 0.9583
40 O 0.9255 0.2500 0.4583

Largest 10 diffraction maxima, sorted by position, 2θ from 15° to 90°:
two_theta  d [Å]  intensity
23.62  3.767  624
24.14  3.687  458
24.98  3.565  569
27.02  3.300  1000
27.86  3.202  729
28.91  3.088  590
32.86  2.726  751
35.83  2.506  663
43.22  2.093  518
44.78  2.024  532



(8)
For SmErCd, a crystal structure in Alexandria, relaxed with GGA-PBE gives the computed powder diffractogram in this record (Cu Kα (λ = 1.5418 Å)).
No peak broadening, texture or thermal motion is included.

Cell and atoms:
Lattice parameters (Å, degrees): 5.2639 5.2639 3.6080 90.00 90.00 120.00
Fractional coordinates of all 3 atoms:
1 Sm 0.0000 0.0000 0.0000
2 Er 0.6667 0.3333 0.5543
3 Cd 0.3333 0.6667 0.3389

Largest 10 diffraction maxima, sorted by position, 2θ from 15° to 90°:
two_theta  d [Å]  intensity
31.63  2.829  1000
34.06  2.632  831
47.16  1.927  329
54.72  1.677  157
59.45  1.555  329
60.97  1.520  153
66.05  1.415  88
71.72  1.316  94
76.44  1.246  116
80.50  1.193  137